(1)
Starting from a GGA-PBE-relaxed structure, the powder diffractogram of MgAl2O4 was computed for CuKα.

Top 10 peaks for 10° ≤ 2θ ≤ 90°, by angle:
2θ (°)	d/Å	Rel. int.
18.81	4.717	36
30.93	2.891	22
31.03	2.882	21
36.49	2.463	100
36.56	2.458	33
44.39	2.041	76
58.75	1.572	43
58.84	1.569	18
64.47	1.445	51
64.69	1.441	53

Crystal structure
a = 5.763 Å, b = 5.763 Å, c = 14.185 Å
α = 90.00°, β = 90.00°, γ = 120.00°
Atoms (fractional coordinates):
1 Mg 0.000 0.000 0.000
2 Mg 0.000 0.000 0.243
3 Mg 0.000 0.000 0.621
4 Mg 0.333 0.667 0.577
5 Mg 0.667 0.333 0.286
6 Mg 0.667 0.333 0.913
7 Al 0.169 0.338 0.790
8 Al 0.169 0.831 0.790
9 Al 0.324 0.162 0.456
10 Al 0.333 0.667 0.336
11 Al 0.333 0.667 0.958
12 Al 0.503 0.006 0.122
13 Al 0.503 0.497 0.122
14 Al 0.662 0.831 0.790
15 Al 0.667 0.333 0.666
16 Al 0.838 0.162 0.456
17 Al 0.838 0.676 0.456
18 Al 0.994 0.497 0.122
19 O 0.000 0.000 0.382
20 O 0.000 0.000 0.855
21 O 0.038 0.519 0.868
22 O 0.153 0.306 0.529
23 O 0.153 0.847 0.529
24 O 0.187 0.374 0.044
25 O 0.187 0.813 0.044
26 O 0.327 0.164 0.713
27 O 0.333 0.667 0.205
28 O 0.333 0.667 0.718
29 O 0.359 0.179 0.192
30 O 0.481 0.519 0.868
31 O 0.481 0.962 0.868
32 O 0.507 0.014 0.380
33 O 0.507 0.493 0.380
34 O 0.626 0.813 0.044
35 O 0.667 0.333 0.049
36 O 0.667 0.333 0.534
37 O 0.694 0.847 0.529
38 O 0.821 0.179 0.192
39 O 0.821 0.641 0.192
40 O 0.836 0.164 0.713
41 O 0.836 0.673 0.713
42 O 0.986 0.493 0.380

---

(2)
Starting from a GGA-PBE-relaxed structure, the powder diffractogram of ZrUB24 was computed for CuKα.

Top 10 peaks for 10° ≤ 2θ ≤ 90°, by angle:
2θ (°)	d/Å	Rel. int.
10.35	8.550	27
19.78	4.487	20
20.71	4.290	100
23.95	3.715	76
34.07	2.631	23
34.19	2.622	23
40.23	2.242	79
40.35	2.235	26
42.08	2.147	24
61.04	1.518	23

Crystal structure
a = 9.074 Å, b = 9.074 Å, c = 9.074 Å
α = 33.72°, β = 33.72°, γ = 33.72°
Atoms (fractional coordinates):
1 Zr 0.000 0.000 0.000
2 U 0.500 0.500 0.500
3 B 0.080 0.080 0.420
4 B 0.080 0.420 0.080
5 B 0.080 0.420 0.420
6 B 0.089 0.412 0.749
7 B 0.089 0.749 0.412
8 B 0.251 0.588 0.911
9 B 0.251 0.911 0.588
10 B 0.412 0.089 0.749
11 B 0.412 0.749 0.089
12 B 0.420 0.080 0.080
13 B 0.420 0.080 0.420
14 B 0.420 0.420 0.080
15 B 0.580 0.580 0.920
16 B 0.580 0.920 0.580
17 B 0.580 0.920 0.920
18 B 0.588 0.251 0.911
19 B 0.588 0.911 0.251
20 B 0.749 0.089 0.412
21 B 0.749 0.412 0.089
22 B 0.911 0.251 0.588
23 B 0.911 0.588 0.251
24 B 0.920 0.580 0.580
25 B 0.920 0.580 0.920
26 B 0.920 0.920 0.580

---

(3)
Starting from a GGA-PBE-relaxed structure, the powder diffractogram of DyFeNi was computed for CuKα.

Top 10 peaks for 10° ≤ 2θ ≤ 90°, by angle:
2θ (°)	d/Å	Rel. int.
35.13	2.554	23
35.24	2.547	100
37.83	2.378	22
40.29	2.238	45
40.91	2.206	36
41.93	2.155	80
43.70	2.071	61
45.20	2.006	17
63.10	1.473	19
74.52	1.273	33

Crystal structure
a = 5.112 Å, b = 5.112 Å, c = 5.112 Å
α = 124.56°, β = 120.04°, γ = 86.11°
Atoms (fractional coordinates):
1 Dy 0.370 0.120 0.250
2 Dy 0.630 0.880 0.750
3 Fe 0.000 0.000 0.500
4 Fe 0.000 0.500 0.000
5 Ni 0.000 0.500 0.500
6 Ni 0.500 0.500 0.000

---

(4)
Starting from a GGA-PBE-relaxed structure, the powder diffractogram of Rb2BrCl6F was computed for CuKα.

Top 10 peaks for 10° ≤ 2θ ≤ 90°, by angle:
2θ (°)	d/Å	Rel. int.
14.97	5.918	25
24.56	3.624	88
30.20	2.959	70
35.01	2.563	100
43.24	2.092	39
50.35	1.812	64
59.85	1.545	24
62.80	1.480	21
68.50	1.370	20
84.54	1.146	27

Crystal structure
a = 7.249 Å, b = 7.249 Å, c = 7.249 Å
α = 60.00°, β = 60.00°, γ = 60.00°
Atoms (fractional coordinates):
1 Rb 0.250 0.250 0.250
2 Rb 0.750 0.750 0.750
3 Br 0.000 0.000 0.000
4 Cl 0.241 0.241 0.759
5 Cl 0.241 0.759 0.241
6 Cl 0.241 0.759 0.759
7 Cl 0.759 0.241 0.241
8 Cl 0.759 0.241 0.759
9 Cl 0.759 0.759 0.241
10 F 0.500 0.500 0.500

---

(5)
Starting from a GGA-PBE-relaxed structure, the powder diffractogram of ThSiAu was computed for CuKα.

Top 10 peaks for 10° ≤ 2θ ≤ 90°, by angle:
2θ (°)	d/Å	Rel. int.
23.77	3.743	26
32.18	2.782	100
41.81	2.161	37
43.54	2.079	11
50.20	1.817	7
53.72	1.706	24
61.94	1.498	24
70.29	1.339	22
72.77	1.300	10
76.34	1.248	7

Crystal structure
a = 4.322 Å, b = 4.322 Å, c = 4.158 Å
α = 90.00°, β = 90.00°, γ = 120.00°
Atoms (fractional coordinates):
1 Th 0.000 0.000 0.000
2 Si 0.333 0.667 0.500
3 Au 0.667 0.333 0.500

---

(6)
Starting from a GGA-PBE-relaxed structure, the powder diffractogram of Ca5Pt2N6 was computed for CuKα.

Top 10 peaks for 10° ≤ 2θ ≤ 90°, by angle:
2θ (°)	d/Å	Rel. int.
15.16	5.843	100
18.23	4.866	77
20.41	4.351	49
23.58	3.773	35
31.81	2.813	49
32.28	2.773	40
33.18	2.700	73
34.75	2.582	36
41.55	2.174	35
49.55	1.840	32

Crystal structure
a = 6.113 Å, b = 6.113 Å, c = 12.122 Å
α = 102.69°, β = 102.69°, γ = 68.67°
Atoms (fractional coordinates):
1 Ca 0.115 0.885 0.750
2 Ca 0.186 0.693 0.999
3 Ca 0.208 0.461 0.269
4 Ca 0.307 0.814 0.501
5 Ca 0.461 0.208 0.769
6 Ca 0.539 0.792 0.231
7 Ca 0.693 0.186 0.499
8 Ca 0.792 0.539 0.731
9 Ca 0.814 0.307 0.001
10 Ca 0.885 0.115 0.250
11 Pt 0.208 0.321 0.543
12 Pt 0.321 0.208 0.043
13 Pt 0.679 0.792 0.957
14 Pt 0.792 0.679 0.457
15 N 0.080 0.176 0.629
16 N 0.174 0.247 0.888
17 N 0.176 0.080 0.129
18 N 0.247 0.174 0.388
19 N 0.407 0.504 0.625
20 N 0.496 0.593 0.875
21 N 0.504 0.407 0.125
22 N 0.593 0.496 0.375
23 N 0.753 0.826 0.612
24 N 0.824 0.920 0.871
25 N 0.826 0.753 0.112
26 N 0.920 0.824 0.371

---

(7)
Starting from a GGA-PBE-relaxed structure, the powder diffractogram of RbMg14Cu was computed for CuKα.

Top 10 peaks for 10° ≤ 2θ ≤ 90°, by angle:
2θ (°)	d/Å	Rel. int.
17.67	5.019	16
32.15	2.784	29
33.68	2.661	40
35.78	2.510	56
36.42	2.467	100
47.25	1.924	18
56.42	1.631	18
62.03	1.496	18
67.33	1.391	22
69.83	1.347	14

Crystal structure
a = 10.644 Å, b = 6.526 Å, c = 6.526 Å
α = 58.58°, β = 90.00°, γ = 90.00°
Atoms (fractional coordinates):
1 Rb 0.000 0.000 0.000
2 Mg 0.000 0.012 0.493
3 Mg 0.000 0.493 0.012
4 Mg 0.236 0.660 0.660
5 Mg 0.263 0.172 0.653
6 Mg 0.263 0.653 0.172
7 Mg 0.268 0.170 0.170
8 Mg 0.500 0.501 0.501
9 Mg 0.500 0.503 0.997
10 Mg 0.500 0.997 0.503
11 Mg 0.500 0.999 0.999
12 Mg 0.732 0.170 0.170
13 Mg 0.737 0.172 0.653
14 Mg 0.737 0.653 0.172
15 Mg 0.764 0.660 0.660
16 Cu 0.000 0.499 0.499

---

(8)
Starting from a GGA-PBE-relaxed structure, the powder diffractogram of YMg was computed for CuKα.

Top 10 peaks for 10° ≤ 2θ ≤ 90°, by angle:
2θ (°)	d/Å	Rel. int.
18.45	4.810	24
20.48	4.336	27
27.30	3.267	18
30.32	2.948	19
30.55	2.926	21
31.85	2.810	42
34.29	2.615	100
34.87	2.573	53
54.01	1.698	17
63.66	1.462	15

Crystal structure
a = 5.853 Å, b = 5.853 Å, c = 6.484 Å
α = 115.53°, β = 115.53°, γ = 60.49°
Atoms (fractional coordinates):
1 Y 0.000 0.000 0.000
2 Y 0.198 0.476 0.512
3 Y 0.524 0.802 0.488
4 Mg 0.353 0.313 0.004
5 Mg 0.687 0.647 0.996
6 Mg 0.855 0.145 0.500